1.
Calculated X-ray powder pattern
Compound: Ga2Pt13
Radiation: λ = 1.5418 Å (Cu Kα)
Structure: a DFT-relaxed cell (GGA-PBE, Alexandria)

Atomic structure:
Cell: 6.4803 6.9015 7.0658 Å, 118.23 115.17 92.81°
Space group P-1 (No. 2)
One atom of each set of equivalent atoms:
Ga  0.1966  0.1844  0.3128
Pt  0.0000  0.0000  0.5000
Pt  0.0014  0.2675  0.9477
Pt  0.0701  0.4484  0.6756
Pt  0.2511  0.9188  0.8763
Pt  0.3740  0.8195  0.4902
Pt  0.4915  0.2701  0.8533
Pt  0.4909  0.4137  0.2721

Top 12 peaks for 2θ from 5° to 70°, low angle first:
h k l, d [Å], 2θ/deg, Rel. int.
2 0 0, 2.784, 32.15, 54
-1 2 1, 2.328, 38.68, 100
2 -1 1, 2.307, 39.04, 82
1 2 -3, 2.290, 39.35, 93
-2 1 2, 2.274, 39.63, 50
2 1 0, 2.249, 40.10, 81
2 -2 1, 2.217, 40.70, 48
1 -3 1, 2.199, 41.04, 52
2 2 -1, 2.117, 42.72, 77
3 0 -2, 2.109, 42.87, 89
0 1 -3, 2.051, 44.16, 51
0 1 2, 2.042, 44.37, 62

---

2.
Calculated X-ray powder pattern
Compound: TaV3P
Radiation: λ = 1.5418 Å (Cu Kα)
Structure: a DFT-relaxed cell (GGA-PBE, Alexandria)

Atomic structure:
Cell: 5.4859 4.7950 7.6939 Å, 90.00 133.47 90.00°
Space group Pc (No. 7)
One atom of each set of equivalent atoms:
Ta  0.0000  0.2185  0.0000
V  0.2783  0.2559  0.4636
V  0.3511  0.2520  0.8115
V  0.6444  0.2439  0.2716
P  0.8109  0.4319  0.6283

Top 12 peaks for 2θ from 5° to 70°, low angle first:
h k l, d [Å], 2θ/deg, Rel. int.
1 0 0, 3.981, 22.33, 34
1 0 -2, 3.846, 23.12, 50
0 1 1, 3.638, 24.47, 62
1 1 -1, 3.609, 24.67, 49
2 0 -2, 2.741, 32.67, 27
0 2 0, 2.397, 37.51, 55
1 1 1, 2.233, 40.39, 55
2 1 -1, 2.213, 40.77, 100
1 1 -3, 2.184, 41.33, 92
2 1 -3, 2.166, 41.70, 27
1 2 -2, 2.035, 44.53, 28
1 0 2, 1.781, 51.29, 23

---

3.
Calculated X-ray powder pattern
Compound: ErIn5Rh6
Radiation: λ = 1.5418 Å (Cu Kα)
Structure: a DFT-relaxed cell (GGA-PBE, Alexandria)

Atomic structure:
Cell: 4.5401 13.6150 6.7115 Å, 90.00 90.00 90.00°
Space group Cmmm (No. 65)
One atom of each set of equivalent atoms:
Er  0.0000  0.0000  0.0000
In  0.0000  0.0000  0.5000
In  0.0000  0.3341  0.5000
In  0.0000  0.3345  0.0000
Rh  0.0000  0.1696  0.2534
Rh  0.0000  0.5000  0.2591

Top 7 peaks for 2θ from 5° to 70°, low angle first:
h k l, d [Å], 2θ/deg, Rel. int.
1 1 1, 3.625, 24.56, 1
1 3 0, 3.210, 27.79, 1
1 3 2, 2.320, 38.82, 100
2 0 0, 2.270, 39.71, 47
0 0 4, 1.678, 54.70, 9
2 6 0, 1.605, 57.42, 16
2 0 4, 1.349, 69.69, 17

---

4.
Calculated X-ray powder pattern
Compound: Sm2BeSiPt6
Radiation: λ = 1.5418 Å (Cu Kα)
Structure: a DFT-relaxed cell (GGA-PBE, Alexandria)

Atomic structure:
Cell: 10.0061 5.7800 7.1170 Å, 90.00 117.89 90.00°
Space group C2/m (No. 12)
One atom of each set of equivalent atoms:
Sm  0.2139  0.0000  0.1411
Be  0.0000  0.0000  0.5000
Si  0.0000  0.5000  0.0000
Pt  0.0179  0.2603  0.2928
Pt  0.2426  0.0000  0.7072

Top 12 peaks for 2θ from 5° to 70°, low angle first:
h k l, d [Å], 2θ/deg, Rel. int.
0 0 2, 3.145, 28.38, 38
2 0 1, 3.013, 29.65, 22
3 1 -2, 2.626, 34.15, 13
2 2 0, 2.419, 37.17, 100
1 1 2, 2.373, 37.91, 13
4 0 0, 2.211, 40.82, 69
3 1 -3, 2.128, 42.48, 7
4 0 -4, 1.716, 53.38, 13
3 1 2, 1.697, 54.04, 10
4 2 1, 1.548, 59.72, 12
0 4 0, 1.445, 64.50, 23
2 2 3, 1.415, 66.03, 6

---

5.
Calculated X-ray powder pattern
Compound: TbCe5Pb6
Radiation: λ = 1.5418 Å (Cu Kα)
Structure: a DFT-relaxed cell (GGA-PBE, Alexandria)

Atomic structure:
Cell: 5.9058 17.7264 6.7661 Å, 90.00 90.00 90.00°
Space group Cmmm (No. 65)
One atom of each set of equivalent atoms:
Tb  0.0000  0.0000  0.0000
Ce  0.0000  0.0000  0.5000
Ce  0.0000  0.3325  0.5000
Ce  0.0000  0.3345  0.0000
Pb  0.0000  0.1657  0.2464
Pb  0.0000  0.5000  0.2467

Top 12 peaks for 2θ from 5° to 70°, low angle first:
h k l, d [Å], 2θ/deg, Rel. int.
1 3 0, 4.177, 21.27, 5
0 0 2, 3.383, 26.34, 1
2 0 0, 2.954, 30.26, 68
1 3 2, 2.629, 34.10, 100
2 0 2, 2.225, 40.55, 2
2 6 0, 2.089, 43.32, 26
3 3 0, 1.868, 48.75, 1
2 6 2, 1.777, 51.42, 1
0 0 4, 1.692, 54.23, 7
3 3 2, 1.635, 56.25, 49
4 0 0, 1.477, 62.93, 9
2 0 4, 1.468, 63.36, 17

---

6.
Calculated X-ray powder pattern
Compound: TaV8Fe2
Radiation: λ = 1.5418 Å (Cu Kα)
Structure: a DFT-relaxed cell (GGA-PBE, Alexandria)

Atomic structure:
Cell: 6.6656 10.8134 4.6459 Å, 90.00 112.91 90.00°
Space group C2/m (No. 12)
One atom of each set of equivalent atoms:
Ta  0.0000  0.0000  0.0000
V  0.0000  0.2407  0.0000
V  0.0999  0.5000  0.8272
V  0.2040  0.1197  0.5877
Fe  0.0000  0.3074  0.5000

Top 12 peaks for 2θ from 5° to 70°, low angle first:
h k l, d [Å], 2θ/deg, Rel. int.
1 1 0, 5.339, 16.60, 37
1 1 -1, 4.081, 21.78, 33
0 2 1, 3.356, 26.56, 52
2 0 0, 3.070, 29.09, 34
0 4 1, 2.286, 39.43, 100
1 1 -2, 2.269, 39.72, 63
3 1 -1, 2.167, 41.69, 82
0 0 2, 2.140, 42.24, 33
2 0 1, 2.132, 42.39, 37
2 4 0, 2.029, 44.66, 72
1 5 -1, 1.941, 46.79, 55
3 3 -2, 1.675, 54.79, 35

---

7.
Calculated X-ray powder pattern
Compound: KNbAs2Br
Radiation: λ = 1.5418 Å (Cu Kα)
Structure: a DFT-relaxed cell (GGA-PBE, Alexandria)

Atomic structure:
Cell: 5.0006 5.0006 5.6821 Å, 90.00 90.00 90.00°
Space group P4/mmm (No. 123)
One atom of each set of equivalent atoms:
K  0.0000  0.0000  0.0000
Nb  0.5000  0.5000  0.5000
As  0.0000  0.5000  0.5000
Br  0.5000  0.5000  0.0000

Top 12 peaks for 2θ from 5° to 70°, low angle first:
h k l, d [Å], 2θ/deg, Rel. int.
0 0 1, 5.682, 15.60, 46
1 0 0, 5.001, 17.74, 80
1 1 1, 3.002, 29.76, 80
0 0 2, 2.841, 31.49, 72
2 0 0, 2.500, 35.92, 100
1 0 2, 2.470, 36.37, 26
2 1 0, 2.236, 40.33, 20
2 0 2, 1.877, 48.50, 83
2 2 0, 1.768, 51.70, 34
2 1 2, 1.757, 52.04, 19
3 1 1, 1.523, 60.80, 19
2 2 2, 1.501, 61.81, 39

---

8.
Calculated X-ray powder pattern
Compound: P
Radiation: λ = 1.5418 Å (Cu Kα)
Structure: a DFT-relaxed cell (GGA-PBE, Alexandria)

Atomic structure:
Cell: 4.5747 3.3030 5.8455 Å, 90.00 101.80 90.00°
Space group P2/m (No. 10)
One atom of each set of equivalent atoms:
P  0.0400  0.0000  0.3151
P  0.3656  0.5000  0.3149

Top 12 peaks for 2θ from 5° to 70°, low angle first:
h k l, d [Å], 2θ/deg, Rel. int.
0 0 1, 5.722, 15.49, 98
1 0 -1, 3.939, 22.57, 37
1 0 1, 3.221, 27.69, 36
0 0 2, 2.861, 31.26, 44
1 0 -2, 2.671, 33.55, 17
1 1 0, 2.658, 33.72, 100
1 1 -1, 2.531, 35.47, 39
0 0 3, 1.907, 47.68, 23
1 1 2, 1.839, 49.56, 25
2 1 -2, 1.692, 54.22, 26
2 1 1, 1.682, 54.57, 26
1 1 -3, 1.647, 55.81, 23

---

9.
Calculated X-ray powder pattern
Compound: Ni4Bi12I3
Radiation: λ = 1.5418 Å (Cu Kα)
Structure: a DFT-relaxed cell (GGA-PBE, Alexandria)

Atomic structure:
Cell: 4.1221 16.1781 34.8556 Å, 90.00 90.00 90.00°
Space group Cmcm (No. 63)
One atom of each set of equivalent atoms:
Ni  0.0000  0.0154  0.1467
Ni  0.0000  0.4383  0.1209
Bi  0.0000  0.0305  0.5693
Bi  0.0000  0.1409  0.1984
Bi  0.0000  0.1597  0.6463
Bi  0.0000  0.3098  0.0719
Bi  0.0000  0.3885  0.6206
Bi  0.0000  0.4833  0.1979
I  0.0000  0.1790  0.7500
I  0.0000  0.3698  0.5244

Top 12 peaks for 2θ from 5° to 70°, low angle first:
h k l, d [Å], 2θ/deg, Rel. int.
0 0 4, 8.714, 10.15, 44
1 3 2, 3.219, 27.72, 100
1 3 3, 3.152, 28.31, 33
0 2 11, 2.950, 30.30, 52
1 3 6, 2.853, 31.36, 29
1 1 9, 2.781, 32.19, 56
1 1 10, 2.626, 34.14, 24
1 5 8, 2.198, 41.07, 25
1 5 9, 2.127, 42.50, 28
2 0 0, 2.061, 43.93, 34
1 9 3, 1.632, 56.39, 22
1 3 20, 1.538, 60.14, 24

---

10.
Calculated X-ray powder pattern
Compound: V5As3
Radiation: λ = 1.5418 Å (Cu Kα)
Structure: a DFT-relaxed cell (GGA-PBE, Alexandria)

Atomic structure:
Cell: 9.4602 7.5063 6.4551 Å, 90.00 90.00 90.00°
Space group Pnma (No. 62)
One atom of each set of equivalent atoms:
V  0.0110  0.2500  0.0258
V  0.0778  0.0586  0.7037
V  0.2181  0.7500  0.3527
V  0.2489  0.2500  0.2993
As  0.0083  0.7500  0.5849
As  0.1716  0.5159  0.0734

Top 12 peaks for 2θ from 5° to 70°, low angle first:
h k l, d [Å], 2θ/deg, Rel. int.
1 2 1, 3.069, 29.10, 23
3 0 1, 2.833, 31.58, 43
1 2 2, 2.369, 37.98, 100
0 3 1, 2.333, 38.59, 29
3 2 1, 2.262, 39.85, 49
3 0 2, 2.256, 39.97, 23
4 0 1, 2.221, 40.63, 35
2 2 2, 2.173, 41.55, 91
4 2 0, 2.001, 45.32, 61
2 1 3, 1.895, 48.01, 33
0 4 0, 1.877, 48.51, 42
2 2 3, 1.736, 52.72, 24

---

11.
Calculated X-ray powder pattern
Compound: Li3CeBi3
Radiation: λ = 1.5418 Å (Cu Kα)
Structure: a DFT-relaxed cell (GGA-PBE, Alexandria)

Atomic structure:
Cell: 8.8742 8.8742 17.9003 Å, 90.00 90.00 120.00°
Space group R-3 (No. 148, hexagonal axes)
One atom of each set of equivalent atoms:
Li  0.0056  0.7313  0.4174
Ce  0.0000  0.0000  0.1790
Bi  0.0185  0.6317  0.5860

Top 12 peaks for 2θ from 5° to 70°, low angle first:
h k l, d [Å], 2θ/deg, Rel. int.
1 0 1, 7.062, 12.53, 23
1 1 3, 3.561, 25.01, 100
0 0 6, 2.983, 29.95, 11
1 2 2, 2.763, 32.40, 16
2 0 5, 2.619, 34.23, 9
3 0 0, 2.562, 35.03, 33
2 -1 6, 2.476, 36.29, 27
3 -1 4, 2.436, 36.89, 9
4 -3 1, 2.117, 42.72, 9
4 -2 3, 2.079, 43.52, 15
0 3 6, 1.944, 46.74, 10
2 -1 9, 1.815, 50.27, 14

---

12.
Calculated X-ray powder pattern
Compound: Na2O2F
Radiation: λ = 1.5418 Å (Cu Kα)
Structure: a DFT-relaxed cell (GGA-PBE, Alexandria)

Atomic structure:
Cell: 3.1201 11.3934 7.8147 Å, 90.00 90.00 90.00°
Space group Cmc2_1 (No. 36)
One atom of each set of equivalent atoms:
Na  0.0000  0.0060  0.0000
Na  0.0000  0.1929  0.7430
O  0.0000  0.2103  0.4209
O  0.0000  0.3130  0.5103
F  0.0000  0.4538  0.2061

Top 12 peaks for 2θ from 5° to 70°, low angle first:
h k l, d [Å], 2θ/deg, Rel. int.
0 2 1, 4.603, 19.28, 55
0 2 2, 3.222, 27.68, 18
0 4 0, 2.848, 31.41, 32
1 1 1, 2.808, 31.87, 58
1 1 2, 2.384, 37.73, 36
0 2 3, 2.369, 37.98, 30
1 3 1, 2.303, 39.11, 40
1 3 2, 2.052, 44.14, 100
1 1 3, 1.970, 46.09, 25
0 0 4, 1.954, 46.48, 27
1 5 0, 1.840, 49.54, 18
2 0 0, 1.560, 59.23, 20